# 1
Calculated powder XRD pattern of PdCl2 for CuKα, from a structure optimized by DFT (PBE).
Kinematic intensities with the Lorentz-polarization factor, no thermal factor.

Cell and atoms:
a b c (Å): 13.6554 13.6554 9.0941
angles (deg): 90.00 90.00 120.00
Space group R-3 (No. 148, hexagonal axes)
Symmetry-distinct sites (fractional):
Pd 0.0463 0.8878 0.3495 x18
Cl 0.0462 0.8890 0.7973 x18
Cl 0.0654 0.2684 0.5006 x18

Principal peaks in the range 5° ≤ 2θ ≤ 70°, low angle first:
2θ (°)	intensity	(hkl)
12.28	100	1 0 1
12.97	51	1 1 0
20.93	15	0 1 2
22.56	15	3 0 0
26.10	15	2 2 0
27.99	14	1 2 2
28.94	12	1 3 1
33.69	74	4 -1 2
45.21	12	6 -2 2
46.20	14	5 -1 3
48.05	21	5 2 0
48.73	20	1 3 4



# 2
Calculated powder XRD pattern of ZrC2 for CuKα, from a structure optimized by DFT (PBE).
Kinematic intensities with the Lorentz-polarization factor, no thermal factor.

Cell and atoms:
a b c (Å): 5.104 2.761 8.689
angles (deg): 90.00 90.00 90.00
Space group Pnma (No. 62)
Symmetry-distinct sites (fractional):
Zr 0.238 0.250 0.120 x4
C 0.145 0.250 0.843 x4
C 0.224 0.250 0.391 x4

Principal peaks in the range 5° ≤ 2θ ≤ 70°, low angle first:
2θ (°)	intensity	(hkl)
26.95	100	1 0 2
34.07	38	0 1 1
35.16	50	2 0 0
38.49	59	1 1 1
41.57	33	0 0 4
45.38	28	0 1 3
48.95	27	1 1 3
49.77	30	2 1 1
55.55	24	2 0 4
58.24	15	3 0 2
58.68	24	2 1 3
66.12	12	1 1 5